No. 1
Computed powder XRD pattern of Li2AcYGe2 for Cu Kα (weighted mean of Kα1 and Kα2), from a GGA-PBE-relaxed structure.
Neutral-atom scattering factors, no anomalous dispersion.

Crystal structure
a = 4.538 Å, b = 4.538 Å, c = 7.719 Å
α = 90.00°, β = 90.00°, γ = 120.00°
Element x y z (fractional)
Li: 0.333 0.667 0.192
Li: 0.667 0.333 0.808
Ac: 0.000 0.000 0.500
Y: 0.000 0.000 0.000
Ge: 0.333 0.667 0.778
Ge: 0.667 0.333 0.222

The 8 most intense peaks (2θ from 10° to 90°), by angle:
2θ 22.63, d 3.930, I = 44
2θ 25.43, d 3.502, I = 43
2θ 32.52, d 2.754, I = 100
2θ 39.73, d 2.269, I = 43
2θ 52.24, d 1.751, I = 26
2θ 52.85, d 1.732, I = 12
2θ 63.26, d 1.470, I = 18
2θ 67.58, d 1.386, I = 24

No. 2
Computed powder XRD pattern of AcMg2Ge4 for Cu Kα (weighted mean of Kα1 and Kα2), from a GGA-PBE-relaxed structure.
Neutral-atom scattering factors, no anomalous dispersion.

Crystal structure
a = 9.765 Å, b = 9.765 Å, c = 9.765 Å
α = 155.98°, β = 154.79°, γ = 35.10°
Element x y z (fractional)
Ac: 0.000 0.000 0.000
Mg: 0.184 0.684 0.500
Mg: 0.816 0.316 0.500
Ge: 0.331 0.831 0.500
Ge: 0.418 0.418 0.000
Ge: 0.582 0.582 0.000
Ge: 0.669 0.169 0.500

The 8 most intense peaks (2θ from 10° to 90°), by angle:
2θ 25.35, d 3.513, I = 41
2θ 31.92, d 2.804, I = 100
2θ 32.62, d 2.745, I = 33
2θ 36.13, d 2.486, I = 16
2θ 40.53, d 2.226, I = 22
2θ 42.41, d 2.131, I = 20
2θ 52.01, d 1.758, I = 16
2θ 54.52, d 1.683, I = 15

No. 3
Computed powder XRD pattern of Ac5Mg2Ge5 for Cu Kα (weighted mean of Kα1 and Kα2), from a GGA-PBE-relaxed structure.
Neutral-atom scattering factors, no anomalous dispersion.

Crystal structure
a = 7.713 Å, b = 7.713 Å, c = 12.916 Å
α = 117.72°, β = 117.72°, γ = 34.22°
Element x y z (fractional)
Ac: 0.000 0.000 0.000
Ac: 0.153 0.153 0.513
Ac: 0.187 0.187 0.818
Ac: 0.813 0.813 0.182
Ac: 0.847 0.847 0.487
Mg: 0.430 0.430 0.743
Mg: 0.570 0.570 0.257
Ge: 0.191 0.191 0.287
Ge: 0.383 0.383 0.065
Ge: 0.500 0.500 0.500
Ge: 0.617 0.617 0.935
Ge: 0.809 0.809 0.713

The 8 most intense peaks (2θ from 10° to 90°), by angle:
2θ 20.75, d 4.280, I = 42
2θ 25.56, d 3.485, I = 30
2θ 26.83, d 3.323, I = 52
2θ 28.62, d 3.119, I = 45
2θ 30.07, d 2.972, I = 100
2θ 35.16, d 2.553, I = 55
2θ 39.72, d 2.269, I = 40
2θ 40.25, d 2.241, I = 30

No. 4
Computed powder XRD pattern of Ac5Mg2Ge4 for Cu Kα (weighted mean of Kα1 and Kα2), from a GGA-PBE-relaxed structure.
Neutral-atom scattering factors, no anomalous dispersion.

Crystal structure
a = 11.093 Å, b = 11.093 Å, c = 7.866 Å
α = 110.54°, β = 110.54°, γ = 22.79°
Element x y z (fractional)
Ac: 0.000 0.000 0.000
Ac: 0.337 0.337 0.067
Ac: 0.337 0.337 0.605
Ac: 0.663 0.663 0.395
Ac: 0.663 0.663 0.933
Mg: 0.070 0.070 0.573
Mg: 0.930 0.930 0.427
Ge: 0.205 0.205 0.705
Ge: 0.500 0.500 0.320
Ge: 0.500 0.500 0.680
Ge: 0.795 0.795 0.295

The 8 most intense peaks (2θ from 10° to 90°), by angle:
2θ 24.20, d 3.678, I = 100
2θ 24.85, d 3.582, I = 43
2θ 26.33, d 3.384, I = 75
2θ 30.86, d 2.897, I = 98
2θ 33.35, d 2.687, I = 46
2θ 37.83, d 2.378, I = 25
2θ 41.19, d 2.191, I = 33
2θ 49.56, d 1.839, I = 28

No. 5
Computed powder XRD pattern of Ac3MgGe6 for Cu Kα (weighted mean of Kα1 and Kα2), from a GGA-PBE-relaxed structure.
Neutral-atom scattering factors, no anomalous dispersion.

Crystal structure
a = 8.124 Å, b = 8.124 Å, c = 8.124 Å
α = 98.35°, β = 98.35°, γ = 98.35°
Element x y z (fractional)
Ac: 0.187 0.750 0.313
Ac: 0.250 0.687 0.813
Ac: 0.313 0.187 0.750
Ac: 0.687 0.813 0.250
Ac: 0.750 0.313 0.187
Ac: 0.813 0.250 0.687
Mg: 0.000 0.000 0.000
Mg: 0.500 0.500 0.500
Ge: 0.018 0.093 0.377
Ge: 0.093 0.377 0.018
Ge: 0.123 0.407 0.482
Ge: 0.377 0.018 0.093
Ge: 0.407 0.482 0.123
Ge: 0.482 0.123 0.407
Ge: 0.518 0.877 0.593
Ge: 0.593 0.518 0.877
Ge: 0.623 0.982 0.907
Ge: 0.877 0.593 0.518
Ge: 0.907 0.623 0.982
Ge: 0.982 0.907 0.623

The 8 most intense peaks (2θ from 10° to 90°), by angle:
2θ 14.41, d 6.148, I = 32
2θ 22.45, d 3.961, I = 21
2θ 26.82, d 3.324, I = 36
2θ 31.21, d 2.866, I = 100
2θ 33.91, d 2.643, I = 53
2θ 34.65, d 2.589, I = 49
2θ 45.27, d 2.003, I = 34
2θ 50.14, d 1.819, I = 31

No. 6
Computed powder XRD pattern of Ac2MgGe3 for Cu Kα (weighted mean of Kα1 and Kα2), from a GGA-PBE-relaxed structure.
Neutral-atom scattering factors, no anomalous dispersion.

Crystal structure
a = 4.544 Å, b = 4.660 Å, c = 7.673 Å
α = 90.00°, β = 90.00°, γ = 90.00°
Element x y z (fractional)
Ac: 0.000 0.000 0.000
Ac: 0.000 0.500 0.471
Mg: 0.500 0.500 0.815
Ge: 0.500 0.000 0.318
Ge: 0.500 0.000 0.650
Ge: 0.500 0.500 0.161

The 8 most intense peaks (2θ from 10° to 90°), by angle:
2θ 22.32, d 3.983, I = 32
2θ 29.83, d 2.995, I = 100
2θ 30.49, d 2.931, I = 48
2θ 38.65, d 2.330, I = 19
2θ 39.67, d 2.272, I = 18
2θ 40.22, d 2.242, I = 32
2θ 50.01, d 1.824, I = 25
2θ 57.77, d 1.596, I = 23

No. 7
Computed powder XRD pattern of Ac2Mg3Ge for Cu Kα (weighted mean of Kα1 and Kα2), from a GGA-PBE-relaxed structure.
Neutral-atom scattering factors, no anomalous dispersion.

Crystal structure
a = 4.434 Å, b = 4.770 Å, c = 8.683 Å
α = 90.00°, β = 90.00°, γ = 90.00°
Element x y z (fractional)
Ac: 0.000 0.000 0.000
Ac: 0.000 0.500 0.442
Mg: 0.500 0.000 0.621
Mg: 0.500 0.500 0.144
Mg: 0.500 0.500 0.803
Ge: 0.500 0.000 0.307

The 8 most intense peaks (2θ from 10° to 90°), by angle:
2θ 20.02, d 4.434, I = 19
2θ 20.46, d 4.342, I = 26
2θ 21.25, d 4.181, I = 52
2θ 28.78, d 3.102, I = 47
2θ 29.36, d 3.042, I = 100
2θ 36.30, d 2.475, I = 30
2θ 48.12, d 1.891, I = 23
2θ 55.66, d 1.651, I = 18

No. 8
Computed powder XRD pattern of Ac2MgGePb for Cu Kα (weighted mean of Kα1 and Kα2), from a GGA-PBE-relaxed structure.
Neutral-atom scattering factors, no anomalous dispersion.

Crystal structure
a = 7.975 Å, b = 4.944 Å, c = 8.300 Å
α = 90.00°, β = 98.62°, γ = 90.00°
Element x y z (fractional)
Ac: 0.139 0.250 0.432
Ac: 0.245 0.250 0.978
Ac: 0.755 0.750 0.022
Ac: 0.861 0.750 0.568
Mg: 0.443 0.750 0.347
Mg: 0.557 0.250 0.653
Ge: 0.122 0.750 0.200
Ge: 0.878 0.250 0.800
Pb: 0.358 0.750 0.711
Pb: 0.642 0.250 0.289

The 8 most intense peaks (2θ from 10° to 90°), by angle:
2θ 26.51, d 3.362, I = 47
2θ 28.27, d 3.157, I = 34
2θ 28.96, d 3.083, I = 60
2θ 29.23, d 3.055, I = 100
2θ 31.72, d 2.821, I = 35
2θ 36.34, d 2.472, I = 52
2θ 38.91, d 2.315, I = 27
2θ 45.55, d 1.992, I = 22

No. 9
Computed powder XRD pattern of AcMgGePd6 for Cu Kα (weighted mean of Kα1 and Kα2), from a GGA-PBE-relaxed structure.
Neutral-atom scattering factors, no anomalous dispersion.

Crystal structure
a = 8.121 Å, b = 8.121 Å, c = 8.121 Å
α = 130.91°, β = 108.08°, γ = 92.00°
Element x y z (fractional)
Ac: 0.430 0.180 0.250
Ac: 0.570 0.820 0.750
Mg: 0.000 0.000 0.500
Mg: 0.000 0.500 0.000
Ge: 0.000 0.500 0.500
Ge: 0.500 0.500 0.000
Pd: 0.118 0.340 0.204
Pd: 0.118 0.914 0.778
Pd: 0.177 0.927 0.250
Pd: 0.305 0.555 0.750
Pd: 0.364 0.086 0.704
Pd: 0.364 0.660 0.278
Pd: 0.636 0.340 0.722
Pd: 0.636 0.914 0.296
Pd: 0.695 0.445 0.250
Pd: 0.823 0.073 0.750
Pd: 0.882 0.086 0.222
Pd: 0.882 0.660 0.796

The 8 most intense peaks (2θ from 10° to 90°), by angle:
2θ 12.15, d 7.284, I = 37
2θ 27.14, d 3.285, I = 48
2θ 29.17, d 3.061, I = 39
2θ 32.51, d 2.754, I = 100
2θ 35.76, d 2.511, I = 54
2θ 37.73, d 2.385, I = 59
2θ 45.01, d 2.014, I = 29
2θ 46.06, d 1.971, I = 44

No. 10
Computed powder XRD pattern of AcMg2GePd2 for Cu Kα (weighted mean of Kα1 and Kα2), from a GGA-PBE-relaxed structure.
Neutral-atom scattering factors, no anomalous dispersion.

Crystal structure
a = 6.818 Å, b = 6.818 Å, c = 6.818 Å
α = 137.09°, β = 137.09°, γ = 62.29°
Element x y z (fractional)
Ac: 0.000 0.000 0.000
Mg: 0.250 0.750 0.500
Mg: 0.750 0.250 0.500
Ge: 0.500 0.500 0.000
Pd: 0.297 0.297 0.000
Pd: 0.703 0.703 0.000

The 8 most intense peaks (2θ from 10° to 90°), by angle:
2θ 25.26, d 3.526, I = 100
2θ 29.11, d 3.067, I = 64
2θ 30.64, d 2.917, I = 27
2θ 36.02, d 2.493, I = 60
2θ 40.11, d 2.248, I = 30
2θ 46.96, d 1.935, I = 35
2θ 48.00, d 1.895, I = 31
2θ 51.86, d 1.763, I = 21

No. 11
Computed powder XRD pattern of AcPr2Mg2Ge2 for Cu Kα (weighted mean of Kα1 and Kα2), from a GGA-PBE-relaxed structure.
Neutral-atom scattering factors, no anomalous dispersion.

Crystal structure
a = 10.167 Å, b = 10.167 Å, c = 10.167 Å
α = 26.96°, β = 26.96°, γ = 26.96°
Element x y z (fractional)
Ac: 0.000 0.000 0.000
Pr: 0.133 0.133 0.133
Pr: 0.867 0.867 0.867
Mg: 0.409 0.409 0.409
Mg: 0.591 0.591 0.591
Ge: 0.258 0.258 0.258
Ge: 0.742 0.742 0.742

The 8 most intense peaks (2θ from 10° to 90°), by angle:
2θ 21.86, d 4.066, I = 93
2θ 30.46, d 2.935, I = 100
2θ 32.72, d 2.737, I = 99
2θ 37.96, d 2.370, I = 88
2θ 49.43, d 1.844, I = 26
2θ 50.97, d 1.792, I = 29
2θ 61.41, d 1.510, I = 35
2θ 65.28, d 1.429, I = 27

No. 12
Computed powder XRD pattern of Ac3Mg2Ge2Pt4 for Cu Kα (weighted mean of Kα1 and Kα2), from a GGA-PBE-relaxed structure.
Neutral-atom scattering factors, no anomalous dispersion.

Crystal structure
a = 4.436 Å, b = 4.436 Å, c = 15.977 Å
α = 90.00°, β = 90.00°, γ = 120.00°
Element x y z (fractional)
Ac: 0.000 0.000 0.000
Ac: 0.000 0.000 0.273
Ac: 0.000 0.000 0.727
Mg: 0.333 0.667 0.557
Mg: 0.667 0.333 0.443
Ge: 0.333 0.667 0.135
Ge: 0.667 0.333 0.865
Pt: 0.333 0.667 0.387
Pt: 0.333 0.667 0.859
Pt: 0.667 0.333 0.141
Pt: 0.667 0.333 0.613

The 8 most intense peaks (2θ from 10° to 90°), by angle:
2θ 25.73, d 3.462, I = 49
2θ 28.65, d 3.116, I = 43
2θ 32.33, d 2.769, I = 100
2θ 40.68, d 2.218, I = 69
2θ 52.89, d 1.731, I = 26
2θ 57.98, d 1.591, I = 21
2θ 62.59, d 1.484, I = 17
2θ 68.79, d 1.365, I = 24